# Li3Zn3Cu
Calculated PXRD pattern, Cu Ka. Input: a structure optimized by DFT (GGA-PBE).
Peak positions follow from Bragg's law for the DFT cell and can differ from measured ones.

Structural model:
Cell lengths 9.774, 9.774, 9.774 Å; angles 31.53, 31.53, 31.53 degrees
Sites, in units of the cell vectors:
Li 0.122 0.122 0.620
Li 0.122 0.620 0.122
Li 0.380 0.878 0.878
Li 0.620 0.122 0.122
Li 0.878 0.380 0.878
Li 0.878 0.878 0.380
Zn 0.209 0.707 0.707
Zn 0.293 0.293 0.791
Zn 0.293 0.791 0.293
Zn 0.707 0.209 0.707
Zn 0.707 0.707 0.209
Zn 0.791 0.293 0.293
Cu 0.209 0.209 0.209
Cu 0.791 0.791 0.791

Largest 10 diffraction maxima, in order of falling intensity, 2θ = 10–90°:
42.53 deg, rel. 100
39.73 deg, rel. 89
45.56 deg, rel. 79
38.81 deg, rel. 47
51.54 deg, rel. 42
28.86 deg, rel. 42
83.98 deg, rel. 27
61.66 deg, rel. 22
70.99 deg, rel. 22
41.35 deg, rel. 21



# Li2Zn3Cu7
Calculated PXRD pattern, Cu Ka. Input: a structure optimized by DFT (GGA-PBE).
Peak positions follow from Bragg's law for the DFT cell and can differ from measured ones.

Structural model:
Cell lengths 4.473, 4.473, 8.327 Å; angles 100.27, 100.27, 107.95 degrees
Sites, in units of the cell vectors:
Li 0.168 0.168 0.336
Li 0.832 0.832 0.664
Zn 0.000 0.000 0.000
Zn 0.335 0.335 0.669
Zn 0.665 0.665 0.331
Cu 0.082 0.581 0.165
Cu 0.250 0.750 0.500
Cu 0.419 0.918 0.835
Cu 0.500 0.500 0.000
Cu 0.581 0.082 0.165
Cu 0.750 0.250 0.500
Cu 0.918 0.419 0.835

Largest 10 diffraction maxima, in order of falling intensity, 2θ = 10–90°:
42.33 deg, rel. 100
42.49 deg, rel. 99
48.47 deg, rel. 33
49.17 deg, rel. 32
50.45 deg, rel. 30
72.56 deg, rel. 18
73.11 deg, rel. 18
27.04 deg, rel. 15
26.74 deg, rel. 12
11.15 deg, rel. 12